No. 1
# Mg3InTe4
Calculated PXRD pattern, Cu Kα X-rays. Input: a PBE-relaxed structure.
Kinematic intensities with the Lorentz-polarization factor, no thermal factor.

Atomic structure:
Cell: 4.6723 4.6723 46.5422 Å, 90.00 90.00 120.00°
Space group R3m (No. 160, hexagonal axes)
Asymmetric unit:
Mg1 0.0000 0.0000 0.0000 [3 per cell]
Mg2 0.0000 0.0000 0.2535 [3 per cell]
Mg3 0.0000 0.0000 0.5072 [3 per cell]
In1 0.0000 0.0000 0.7525 [3 per cell]
Te1 0.0000 0.0000 0.1927 [3 per cell]
Te2 0.0000 0.0000 0.4461 [3 per cell]
Te3 0.0000 0.0000 0.6862 [3 per cell]
Te4 0.0000 0.0000 0.9393 [3 per cell]

Largest 10 diffraction maxima, by angle, 5° ≤ 2θ ≤ 70°:
2theta, d (Å), Rel. int., hkl
22.9, 3.879, 310, 0 0 12
23.3, 3.822, 1000, 1 0 4
26.8, 3.322, 211, 0 1 8
38.1, 2.362, 410, 1 0 16
38.5, 2.336, 444, 1 1 0
44.9, 2.017, 154, 0 1 20
45.3, 2.001, 298, 1 1 12
45.5, 1.993, 164, 0 2 4
55.3, 1.661, 137, 0 2 16
69.4, 1.354, 136, 2 1 16


No. 2
# Ba2LaCu3O6
Calculated PXRD pattern, Cu Kα X-rays. Input: a PBE-relaxed structure.
Kinematic intensities with the Lorentz-polarization factor, no thermal factor.

Atomic structure:
Cell: 3.943 3.943 12.214 Å, 90.00 90.00 90.00°
Space group P4/mmm (No. 123)
Asymmetric unit:
Ba1 0.000 0.000 0.193 [2 per cell]
La1 0.000 0.000 0.500 [1 per cell]
Cu1 0.500 0.500 0.000 [1 per cell]
Cu2 0.500 0.500 0.357 [2 per cell]
O1 0.000 0.500 0.370 [4 per cell]
O2 0.500 0.500 0.148 [2 per cell]

Largest 10 diffraction maxima, by angle, 5° ≤ 2θ ≤ 70°:
2theta, d (Å), Rel. int., hkl
7.2, 12.214, 205, 0 0 1
22.6, 3.943, 99, 1 0 0
31.6, 2.832, 1000, 1 0 3
32.1, 2.788, 561, 1 1 0
37.2, 2.414, 150, 1 0 4
39.2, 2.300, 126, 1 1 3
46.0, 1.971, 300, 2 0 0
55.9, 1.644, 135, 1 1 6
56.9, 1.618, 369, 2 1 3
67.2, 1.394, 90, 2 2 0